This entry pairs a crystal structure of TiWO5 with its theoretical XRD peak list. Radiation: a wavelength of 1.5418 Å. Structure: a DFT-relaxed cell (GGA+U, Alexandria).
Intensities are scaled so that the largest is 1000.

Crystal structure
abc: 5.275 5.275 5.275
angles: 138.58 106.18 88.37
Fractional positions:
Ti (0.000, 0.000, 0.000)
W (0.500, 0.500, 0.000)
O (0.193, 0.500, 0.693)
O (0.242, 0.242, 0.000)
O (0.500, 0.000, 0.500)
O (0.758, 0.758, 0.000)
O (0.807, 0.500, 0.307)

Most intense lines, 2θ from 15° to 90°, by angle:
d_spacing  I (rel.)
4.858  891
3.783  843
3.346  440
3.215  1000
3.168  571
2.450  490
2.429  298
1.630  267